This entry pairs a crystal structure of RbTl2V with its simulated X-ray diffraction stick pattern. Radiation: λ = 1.5418 Å (Cu Kα). Structure: a cell relaxed with PBE.
Neutral-atom scattering factors, no anomalous dispersion.

Top 10 peaks for 2θ = 15–90°, sorted by position:
Position (°2θ), d/Å, I_rel
15.0, 5.899, 100
19.4, 4.575, 30
20.4, 4.359, 83
22.4, 3.970, 26
28.3, 3.156, 38
30.3, 2.949, 99
32.5, 2.755, 53
35.4, 2.535, 25
41.4, 2.179, 43
45.7, 1.985, 58

Crystal structure
a = 10.1550 Å, b = 10.1550 Å, c = 10.1550 Å
α = 144.27°, β = 144.27°, γ = 51.43°
Sites, in units of the cell vectors:
Rb 0.0000 0.0000 0.0000
Rb 0.7500 0.2500 0.5000
Tl 0.3739 0.1250 0.7489
Tl 0.3750 0.6261 0.7511
Tl 0.3761 0.6250 0.2511
Tl 0.8750 0.6239 0.2489
V 0.2500 0.7500 0.5000
V 0.5000 0.5000 0.0000

This entry pairs a crystal structure of RbYTl with its simulated X-ray diffraction stick pattern. Radiation: λ = 1.5418 Å (Cu Kα). Structure: a cell relaxed with PBE.
Neutral-atom scattering factors, no anomalous dispersion.

Top 10 peaks for 2θ = 15–90°, sorted by position:
Position (°2θ), d/Å, I_rel
23.5, 3.785, 53
30.2, 2.959, 100
30.9, 2.891, 88
34.7, 2.584, 60
39.3, 2.290, 21
44.3, 2.044, 33
50.8, 1.798, 36
54.6, 1.682, 37
57.5, 1.603, 28
69.7, 1.350, 25

Crystal structure
a = 15.2797 Å, b = 15.2797 Å, c = 15.2797 Å
α = 164.62°, β = 164.62°, γ = 21.81°
Sites, in units of the cell vectors:
Rb 0.0787 0.0787 0.0000
Rb 0.9213 0.9213 0.0000
Y 0.2130 0.2130 0.0000
Y 0.7870 0.7870 0.0000
Tl 0.3336 0.3336 0.0000
Tl 0.6664 0.6664 0.0000

This entry pairs a crystal structure of RbTl4Zn with its simulated X-ray diffraction stick pattern. Radiation: λ = 1.5418 Å (Cu Kα). Structure: a cell relaxed with PBE.
Neutral-atom scattering factors, no anomalous dispersion.

Top 10 peaks for 2θ = 15–90°, sorted by position:
Position (°2θ), d/Å, I_rel
16.4, 5.395, 50
31.8, 2.818, 100
33.2, 2.698, 72
38.5, 2.336, 23
42.1, 2.144, 15
50.8, 1.798, 36
55.6, 1.652, 36
65.5, 1.425, 13
66.4, 1.409, 30
78.6, 1.217, 23

Crystal structure
a = 6.6080 Å, b = 6.6080 Å, c = 6.6080 Å
α = 60.00°, β = 60.00°, γ = 60.00°
Sites, in units of the cell vectors:
Rb 0.0000 0.0000 0.0000
Tl 0.3759 0.3759 0.3759
Tl 0.3759 0.3759 0.8723
Tl 0.3759 0.8723 0.3759
Tl 0.8723 0.3759 0.3759
Zn 0.7500 0.7500 0.7500

This entry pairs a crystal structure of Rb2Tl12Zn with its simulated X-ray diffraction stick pattern. Radiation: λ = 1.5418 Å (Cu Kα). Structure: a cell relaxed with PBE.
Neutral-atom scattering factors, no anomalous dispersion.

Top 10 peaks for 2θ = 15–90°, sorted by position:
Position (°2θ), d/Å, I_rel
19.6, 4.526, 30
25.0, 3.556, 25
26.4, 3.380, 100
30.9, 2.893, 31
32.2, 2.779, 44
33.2, 2.700, 28
35.3, 2.541, 68
36.9, 2.438, 91
39.7, 2.272, 22
54.7, 1.678, 23

Crystal structure
a = 7.1862 Å, b = 7.1862 Å, c = 19.9151 Å
α = 90.00°, β = 90.00°, γ = 90.00°
Sites, in units of the cell vectors:
Rb 0.2500 0.7500 0.2482
Rb 0.2500 0.7500 0.7518
Rb 0.7500 0.2500 0.2482
Rb 0.7500 0.2500 0.7518
Tl 0.9996 0.0004 0.0816
Tl 0.0004 0.9996 0.9184
Tl 0.0004 0.5004 0.0816
Tl 0.9996 0.4996 0.9184
Tl 0.0850 0.5850 0.4331
Tl 0.0850 0.9150 0.5669
Tl 0.2500 0.2500 0.1788
Tl 0.2500 0.2500 0.3394
Tl 0.2500 0.2500 0.6606
Tl 0.2500 0.2500 0.8212
Tl 0.4150 0.5850 0.5669
Tl 0.4150 0.9150 0.4331
Tl 0.4996 0.9996 0.0816
Tl 0.5004 0.0004 0.9184
Tl 0.5004 0.4996 0.0816
Tl 0.4996 0.5004 0.9184
Tl 0.5850 0.0850 0.5669
Tl 0.5850 0.4150 0.4331
Tl 0.7500 0.7500 0.1788
Tl 0.7500 0.7500 0.3394
Tl 0.7500 0.7500 0.6606
Tl 0.7500 0.7500 0.8212
Tl 0.9150 0.0850 0.4331
Tl 0.9150 0.4150 0.5669
Zn 0.2500 0.7500 0.0000
Zn 0.7500 0.2500 0.0000

This entry pairs a crystal structure of Rb4Tl4Zn with its simulated X-ray diffraction stick pattern. Radiation: λ = 1.5418 Å (Cu Kα). Structure: a cell relaxed with PBE.
Neutral-atom scattering factors, no anomalous dispersion.

Top 10 peaks for 2θ = 15–90°, sorted by position:
Position (°2θ), d/Å, I_rel
20.2, 4.406, 32
23.1, 3.844, 62
23.4, 3.801, 45
26.9, 3.320, 100
31.6, 2.833, 60
33.1, 2.703, 55
39.5, 2.281, 44
44.4, 2.038, 23
49.8, 1.831, 29
58.4, 1.581, 22

Crystal structure
a = 9.3806 Å, b = 9.3806 Å, c = 9.3806 Å
α = 132.19°, β = 132.19°, γ = 69.93°
Sites, in units of the cell vectors:
Rb 0.0646 0.6808 0.0000
Rb 0.3192 0.3192 0.3838
Rb 0.6808 0.0646 0.0000
Rb 0.9354 0.9354 0.6162
Tl 0.1971 0.1971 0.6522
Tl 0.4551 0.8029 0.0000
Tl 0.5449 0.5449 0.3478
Tl 0.8029 0.4551 0.0000
Zn 0.5000 0.5000 0.0000

This entry pairs a crystal structure of RbU4 with its simulated X-ray diffraction stick pattern. Radiation: λ = 1.5418 Å (Cu Kα). Structure: a cell relaxed with PBE.
Neutral-atom scattering factors, no anomalous dispersion.

Top 10 peaks for 2θ = 15–90°, sorted by position:
Position (°2θ), d/Å, I_rel
16.7, 5.296, 3
23.8, 3.745, 3
29.2, 3.058, 100
33.8, 2.648, 76
48.6, 1.873, 56
57.7, 1.597, 47
60.6, 1.529, 20
71.2, 1.324, 9
78.8, 1.215, 20
81.2, 1.184, 27

Crystal structure
a = 5.2964 Å, b = 5.2964 Å, c = 5.2964 Å
α = 90.00°, β = 90.00°, γ = 90.00°
Sites, in units of the cell vectors:
Rb 0.0000 0.0000 0.0000
U 0.0000 0.0000 0.5000
U 0.0000 0.5000 0.0000
U 0.5000 0.0000 0.0000
U 0.5000 0.5000 0.5000